# 1
The following is a computed XRD peak list of Rb2TiCl6. It was derived from DFT lattice parameters and positions (GGA-PBE), using Cu Kα X-rays.
Kinematic intensities with the Lorentz-polarization factor, no thermal factor.

Principal peaks in the range 15° ≤ 2θ ≤ 90°, by angle:
d (Å)  I_rel  index
3.623  51  2 2 0
2.958  100  2 2 2
2.562  80  4 0 0
2.092  21  4 2 2
1.812  49  4 4 0
1.620  12  6 2 0
1.545  33  6 2 2
1.479  16  4 4 4
1.369  13  6 4 2
1.146  19  8 4 0

Crystal structure
```
data_Rb2TiCl6
_space_group_name_H-M_alt 'F m -3 m'
_space_group_IT_number 225
_space_group_name_Hall '-F 4 2 3'
_cell_length_a 10.2476
_cell_length_b 10.2476
_cell_length_c 10.2476
_cell_angle_alpha 90.00
_cell_angle_beta 90.00
_cell_angle_gamma 90.00
loop_
_atom_site_label
_atom_site_fract_x
_atom_site_fract_y
_atom_site_fract_z
Rb1 0.2500 0.2500 0.2500
Ti1 0.0000 0.0000 0.0000
Cl1 0.0000 0.0000 0.2306
```

# 2
The following is a computed XRD peak list of RbTlCl3. It was derived from DFT lattice parameters and positions (GGA-PBE), using Cu Kα X-rays.
Kinematic intensities with the Lorentz-polarization factor, no thermal factor.

Principal peaks in the range 15° ≤ 2θ ≤ 90°, by angle:
d (Å)  I_rel  index
5.632  41  2 0 0
3.982  100  2 2 0
2.816  51  4 0 0
2.519  21  4 2 0
2.299  47  4 2 2
1.991  36  4 4 0
1.781  24  6 2 0
1.505  27  6 4 2
1.259  15  8 4 0
1.105  16  10 2 0

Crystal structure
```
data_RbTlCl3
_space_group_name_H-M_alt 'F m -3 m'
_space_group_IT_number 225
_space_group_name_Hall '-F 4 2 3'
_cell_length_a 11.2642
_cell_length_b 11.2642
_cell_length_c 11.2642
_cell_angle_alpha 90.00
_cell_angle_beta 90.00
_cell_angle_gamma 90.00
loop_
_atom_site_label
_atom_site_fract_x
_atom_site_fract_y
_atom_site_fract_z
Rb1 0.2500 0.2500 0.2500
Tl1 0.0000 0.0000 0.0000
Tl2 0.0000 0.0000 0.5000
Cl1 0.0000 0.0000 0.2340
```